# 1
For NaCuO2, a crystal structure in the Materials Project, relaxed with GGA-PBE gives the simulated powder diffractogram in this record (CuKα).
Intensities are scaled so that the largest is 100.

Peak list (10 most intense, 10° ≤ 2θ ≤ 90°, by angle)
16.8 deg, I = 67, (0 0 3)
34.0 deg, I = 17, (0 0 6)
34.5 deg, I = 19, (1 0 1)
36.0 deg, I = 37, (0 1 2)
41.2 deg, I = 100, (1 0 4)
53.4 deg, I = 12, (1 0 7)
58.4 deg, I = 28, (0 1 8)
61.0 deg, I = 28, (1 1 0)
71.7 deg, I = 16, (0 0 12)
76.2 deg, I = 12, (0 2 4)

Atomic structure:
```
data_NaCuO2
_chemical_formula_sum 'Na3 Cu3 O6'
_symmetry_space_group_name_H-M 'R -3 m'
_symmetry_Int_Tables_number 166
_symmetry_space_group_name_Hall '-R 3 2"'
_cell_length_a 3.0399
_cell_length_b 3.0399
_cell_length_c 15.8113
_cell_angle_alpha 90.00
_cell_angle_beta 90.00
_cell_angle_gamma 120.00
loop_
_atom_site_label
_atom_site_type_symbol
_atom_site_fract_x
_atom_site_fract_y
_atom_site_fract_z
Na1 Na 0.0000 0.0000 0.0000
Cu1 Cu 0.0000 0.0000 0.5000
O1 O 0.0000 0.0000 0.2334
```

---

# 2
For NaCu3O4, a crystal structure in the Materials Project, relaxed with GGA-PBE gives the simulated powder diffractogram in this record (CuKα).
Intensities are scaled so that the largest is 100.

Peak list (10 most intense, 10° ≤ 2θ ≤ 90°, by angle)
22.9 deg, I = 17, (1 1 0)
36.7 deg, I = 100, (2 1 0)
40.3 deg, I = 35, (2 1 1)
52.8 deg, I = 3, (3 1 0)
58.3 deg, I = 24, (2 2 2)
60.9 deg, I = 21, (3 2 0)
63.5 deg, I = 16, (3 2 1)
68.5 deg, I = 15, (4 0 0)
80.3 deg, I = 17, (4 2 1)
82.6 deg, I = 4, (3 3 2)

Atomic structure:
```
data_NaCu3O4
_chemical_formula_sum 'Na2 Cu6 O8'
_symmetry_space_group_name_H-M 'P m -3 n'
_symmetry_Int_Tables_number 223
_symmetry_space_group_name_Hall '-P 4n 2 3'
_cell_length_a 5.481
_cell_length_b 5.481
_cell_length_c 5.481
_cell_angle_alpha 90.00
_cell_angle_beta 90.00
_cell_angle_gamma 90.00
loop_
_atom_site_label
_atom_site_type_symbol
_atom_site_fract_x
_atom_site_fract_y
_atom_site_fract_z
Na1 Na 0.000 0.000 0.000
Cu1 Cu 0.000 0.250 0.500
O1 O 0.250 0.250 0.250
```

---

# 3
For Na6CuO4, a crystal structure in the Materials Project, relaxed with GGA-PBE gives the simulated powder diffractogram in this record (CuKα).
Intensities are scaled so that the largest is 100.

Peak list (10 most intense, 10° ≤ 2θ ≤ 90°, by angle)
13.3 deg, I = 100, (1 1 0)
19.9 deg, I = 30, (1 1 -1)
20.2 deg, I = 32, (0 2 1)
20.5 deg, I = 35, (1 1 1)
38.7 deg, I = 81, (2 4 -1)
39.0 deg, I = 42, (1 5 1)
39.3 deg, I = 25, (2 4 1)
39.6 deg, I = 26, (3 1 1)
47.3 deg, I = 63, (2 6 0)
47.6 deg, I = 29, (4 0 0)

Atomic structure:
```
data_Na6CuO4
_chemical_formula_sum 'Na24 Cu4 O16'
_symmetry_space_group_name_H-M 'C 1 c 1'
_symmetry_Int_Tables_number 9
_cell_length_a 7.648
_cell_length_b 13.357
_cell_length_c 5.855
_cell_angle_alpha 90.00
_cell_angle_beta 91.95
_cell_angle_gamma 90.00
loop_
_symmetry_equiv_pos_as_xyz
'x,y,z'
'x,-y,z+1/2'
'x+1/2,y+1/2,z'
'x+1/2,-y+1/2,z+1/2'
loop_
_atom_site_label
_atom_site_type_symbol
_atom_site_fract_x
_atom_site_fract_y
_atom_site_fract_z
Na1 Na 0.000 0.037 0.000
Na2 Na 0.002 0.358 0.667
Na3 Na 0.195 0.232 0.007
Na4 Na 0.214 0.429 0.166
Na5 Na 0.290 0.071 0.667
Na6 Na 0.305 0.268 0.501
Cu1 Cu 0.498 0.334 0.895
O1 O 0.009 0.312 0.282
O2 O 0.218 0.095 0.272
O3 O 0.286 0.410 0.783
O4 O 0.493 0.331 0.230
```

---

# 4
For Na2CuO2, a crystal structure in the Materials Project, relaxed with GGA-PBE gives the simulated powder diffractogram in this record (CuKα).
Intensities are scaled so that the largest is 100.

Peak list (10 most intense, 10° ≤ 2θ ≤ 90°, by angle)
17.8 deg, I = 13, (0 0 2)
21.6 deg, I = 100, (0 1 1)
33.5 deg, I = 44, (0 1 3)
35.9 deg, I = 35, (1 1 0)
39.8 deg, I = 40, (0 2 0)
40.5 deg, I = 66, (1 0 3)
51.8 deg, I = 31, (1 1 4)
55.3 deg, I = 10, (0 0 6)
58.1 deg, I = 40, (1 2 3)
67.7 deg, I = 12, (1 1 6)

Atomic structure:
```
data_Na2CuO2
_chemical_formula_sum 'Na4 Cu2 O4'
_symmetry_space_group_name_H-M 'I m m m'
_symmetry_Int_Tables_number 71
_symmetry_space_group_name_Hall '-I 2 2'
_cell_length_a 3.002
_cell_length_b 4.527
_cell_length_c 9.960
_cell_angle_alpha 90.00
_cell_angle_beta 90.00
_cell_angle_gamma 90.00
loop_
_atom_site_label
_atom_site_type_symbol
_atom_site_fract_x
_atom_site_fract_y
_atom_site_fract_z
Na1 Na 0.000 0.000 0.188
Cu1 Cu 0.000 0.000 0.500
O1 O 0.000 0.500 0.133
```

---

# 5
For NaCuO2, a crystal structure in the Materials Project, relaxed with GGA-PBE gives the simulated powder diffractogram in this record (CuKα).
Intensities are scaled so that the largest is 100.

Peak list (10 most intense, 10° ≤ 2θ ≤ 90°, by angle)
16.8 deg, I = 86, (0 0 1)
27.0 deg, I = 67, (2 0 -1)
31.5 deg, I = 100, (2 0 0)
32.5 deg, I = 48, (2 0 -2)
34.0 deg, I = 24, (0 0 2)
36.0 deg, I = 45, (1 1 0)
44.1 deg, I = 81, (1 1 -2)
54.2 deg, I = 25, (3 1 -2)
56.1 deg, I = 41, (1 1 2)
60.5 deg, I = 21, (2 0 -4)

Atomic structure:
```
data_NaCuO2
_chemical_formula_sum 'Na2 Cu2 O4'
_symmetry_space_group_name_H-M 'C 1 2/m 1'
_symmetry_Int_Tables_number 12
_cell_length_a 6.602
_cell_length_b 2.776
_cell_length_c 6.122
_cell_angle_alpha 90.00
_cell_angle_beta 120.50
_cell_angle_gamma 90.00
loop_
_symmetry_equiv_pos_as_xyz
'x,y,z'
'-x,-y,-z'
'-x,y,-z'
'x,-y,z'
'x+1/2,y+1/2,z'
'-x+1/2,-y+1/2,-z'
'-x+1/2,y+1/2,-z'
'x+1/2,-y+1/2,z'
loop_
_atom_site_label
_atom_site_type_symbol
_atom_site_fract_x
_atom_site_fract_y
_atom_site_fract_z
Na1 Na 0.000 0.000 0.000
Cu1 Cu 0.000 0.000 0.500
O1 O 0.078 0.500 0.730
```

---

What did the fourth record say?
For Na2CuO2, a crystal structure in the Materials Project, relaxed with GGA-PBE gives the simulated powder diffractogram in this record (CuKα).
Intensities are scaled so that the largest is 100.

Peak list (10 most intense, 10° ≤ 2θ ≤ 90°, by angle)
17.8 deg, I = 13, (0 0 2)
21.6 deg, I = 100, (0 1 1)
33.5 deg, I = 44, (0 1 3)
35.9 deg, I = 35, (1 1 0)
39.8 deg, I = 40, (0 2 0)
40.5 deg, I = 66, (1 0 3)
51.8 deg, I = 31, (1 1 4)
55.3 deg, I = 10, (0 0 6)
58.1 deg, I = 40, (1 2 3)
67.7 deg, I = 12, (1 1 6)

Atomic structure:
```
data_Na2CuO2
_chemical_formula_sum 'Na4 Cu2 O4'
_symmetry_space_group_name_H-M 'I m m m'
_symmetry_Int_Tables_number 71
_symmetry_space_group_name_Hall '-I 2 2'
_cell_length_a 3.002
_cell_length_b 4.527
_cell_length_c 9.960
_cell_angle_alpha 90.00
_cell_angle_beta 90.00
_cell_angle_gamma 90.00
loop_
_atom_site_label
_atom_site_type_symbol
_atom_site_fract_x
_atom_site_fract_y
_atom_site_fract_z
Na1 Na 0.000 0.000 0.188
Cu1 Cu 0.000 0.000 0.500
O1 O 0.000 0.500 0.133
```